Structure and simulated powder diffractogram of Li3Si2Ni2O8 (a crystal structure in Alexandria, relaxed with PBE+U; a wavelength of 1.5418 Å).
Kinematic intensities with the Lorentz-polarization factor, no thermal factor.

Crystal structure
Unit cell a=6.636 b=5.025 c=10.365 alpha=90.00 beta=90.07 gamma=90.00
Space group Pc (No. 7)
Asymmetric unit:
Li: 0.000 0.044 0.000 x2
Li: 0.253 0.440 0.922 x2
Li: 0.746 0.073 0.244 x2
Si: 0.003 0.446 0.672 x2
Si: 0.497 0.073 0.491 x2
Ni: 0.262 0.071 0.242 x2
Ni: 0.741 0.444 0.926 x2
O: 0.003 0.450 0.022 x2
O: 0.027 0.113 0.679 x2
O: 0.201 0.426 0.248 x2
O: 0.292 0.050 0.915 x2
O: 0.487 0.013 0.145 x2
O: 0.489 0.392 0.473 x2
O: 0.709 0.045 0.931 x2
O: 0.801 0.460 0.248 x2

Main lines, low angle first (2θ = 10–90°):
two_theta, d/Å, intensity
21.76, 4.085, 100
22.19, 4.006, 97
23.81, 3.737, 19
28.16, 3.169, 18
32.03, 2.794, 40
33.50, 2.675, 16
34.62, 2.591, 32
35.73, 2.513, 38
36.80, 2.442, 20
60.42, 1.532, 22